# LiScSi
Simulated powder XRD pattern, Cu Kα, 1.54184 Å. Input: a cell relaxed with PBE.
Intensities are scaled so that the largest is 1000.

Atomic structure:
Cell lengths 6.3192, 6.3192, 6.3192 Å; angles 90.00, 90.00, 90.00 degrees
Space group F-43m (No. 216)
Inequivalent atoms, fractional coordinates:
Li 0.0000 0.0000 0.0000 x4
Sc 0.2500 0.2500 0.2500 x4
Si 0.0000 0.0000 0.5000 x4

Largest 6 diffraction maxima, low angle first, 2θ from 5° to 70°:
24.40 deg, d = 3.648 Å, I = 1000
28.24 deg, d = 3.160 Å, I = 23
40.37 deg, d = 2.234 Å, I = 867
47.73 deg, d = 1.905 Å, I = 422
58.42 deg, d = 1.580 Å, I = 136
64.25 deg, d = 1.450 Å, I = 161